[1]
Ba6Y3Cu9O20: calculated powder diffractogram (Cu Kα X-rays), based on a PBE-relaxed structure.
Kinematic intensities with the Lorentz-polarization factor, no thermal factor.

Main lines, most intense first (10° ≤ 2θ ≤ 90°):
- 2θ 32.48, I 100, (2 1 1)
- 2θ 32.09, I 47, (1 -1 3)
- 2θ 57.41, I 20, (-1 4 4)
- 2θ 58.18, I 17, (3 3 5)
- 2θ 46.10, I 15, (2 -2 0)
- 2θ 47.15, I 14, (2 4 2)

a b c (Å): 5.5084 8.6602 12.4655
angles (deg): 74.01 77.52 72.68
Positions (direct):
Ba 0.0604 0.0606 0.3185
Ba 0.2650 0.2643 0.6884
Ba 0.3907 0.3899 0.3115
Ba 0.6093 0.6101 0.6885
Ba 0.7350 0.7357 0.3116
Ba 0.9396 0.9394 0.6815
Y 0.1667 0.1668 0.0006
Y 0.5000 0.5000 0.0000
Y 0.8333 0.8332 0.9994
Cu 0.0488 0.5470 0.8576
Cu 0.1433 0.6774 0.5000
Cu 0.2873 0.7857 0.1421
Cu 0.3811 0.8813 0.8566
Cu 0.5000 0.0000 0.5000
Cu 0.6189 0.1187 0.1434
Cu 0.7127 0.2143 0.8579
Cu 0.8567 0.3226 0.5000
Cu 0.9512 0.4530 0.1424
O 0.0401 0.0416 0.8785
O 0.1265 0.6266 0.1213
O 0.1384 0.6045 0.6525
O 0.1806 0.1630 0.5000
O 0.2073 0.7069 0.8793
O 0.2400 0.7062 0.3475
O 0.2926 0.2935 0.1217
O 0.3740 0.3733 0.8792
O 0.4467 0.9467 0.6599
O 0.4598 0.9595 0.1207
O 0.5402 0.0405 0.8793
O 0.5533 0.0533 0.3401
O 0.6260 0.6267 0.1208
O 0.7074 0.7065 0.8783
O 0.7600 0.2938 0.6525
O 0.7927 0.2931 0.1207
O 0.8194 0.8370 0.5000
O 0.8616 0.3955 0.3475
O 0.8735 0.3734 0.8787
O 0.9599 0.9584 0.1215

=====

[2]
LuZnPd: calculated powder diffractogram (Cu Kα X-rays), based on a PBE-relaxed structure.
Kinematic intensities with the Lorentz-polarization factor, no thermal factor.

Main lines, most intense first (10° ≤ 2θ ≤ 90°):
- 2θ 34.25, I 100, (1 1 1)
- 2θ 37.21, I 89, (2 0 1)
- 2θ 37.90, I 36, (2 1 0)
- 2θ 43.21, I 35, (3 0 0)
- 2θ 69.85, I 27, (3 2 1)
- 2θ 48.11, I 23, (0 0 2)

a b c (Å): 7.2529 7.2529 3.7826
angles (deg): 90.00 90.00 120.00
Positions (direct):
Lu 0.0000 0.4057 0.0000
Lu 0.4057 0.0000 0.0000
Lu 0.5943 0.5943 0.0000
Zn 0.0000 0.7460 0.5000
Zn 0.2540 0.2540 0.5000
Zn 0.7460 0.0000 0.5000
Pd 0.0000 0.0000 0.0000
Pd 0.3333 0.6667 0.5000
Pd 0.6667 0.3333 0.5000

=====

Question: What is the formula in the second record?
Answer: LuZnPd